Record 1
Zr7As4: computed powder XRD pattern (Cu Kα), based on DFT lattice parameters and positions (GGA-PBE).

Structure:
```
data_Zr7As4
_chemical_formula_sum 'Zr28 As16'
_cell_length_a 16.3208
_cell_length_b 3.7042
_cell_length_c 15.1213
_cell_angle_alpha 90.00
_cell_angle_beta 104.75
_cell_angle_gamma 90.00
_symmetry_space_group_name_H-M 'C 1 2/m 1'
_symmetry_Int_Tables_number 12
loop_
_symmetry_equiv_pos_as_xyz
'x,y,z'
'-x,-y,-z'
'-x,y,-z'
'x,-y,z'
'x+1/2,y+1/2,z'
'-x+1/2,-y+1/2,-z'
'-x+1/2,y+1/2,-z'
'x+1/2,-y+1/2,z'
loop_
_atom_site_label
_atom_site_type_symbol
_atom_site_fract_x
_atom_site_fract_y
_atom_site_fract_z
Zr1 Zr 0.0000 0.0000 0.0000
Zr2 Zr 0.0000 0.5000 0.5000
Zr3 Zr 0.0031 0.0000 0.6643
Zr4 Zr 0.0697 0.5000 0.1685
Zr5 Zr 0.1617 0.5000 0.9677
Zr6 Zr 0.1786 0.0000 0.5428
Zr7 Zr 0.1961 0.0000 0.3085
Zr8 Zr 0.2062 0.0000 0.7963
As1 As 0.0625 0.0000 0.8501
As2 As 0.1270 0.5000 0.3988
As3 As 0.1297 0.5000 0.6601
As4 As 0.1772 0.0000 0.1091
```

Largest 8 diffraction maxima, most intense first, 2θ = 10–90°:
hkl 1 1 4, 2.496 Å, I 100
hkl 5 1 0, 2.403 Å, I 96
hkl 3 1 3, 2.419 Å, I 96
hkl 1 1 -4, 2.645 Å, I 95
hkl 0 2 0, 1.852 Å, I 81
hkl 6 0 -4, 2.450 Å, I 80
hkl 3 1 -3, 2.760 Å, I 67
hkl 5 1 -2, 2.426 Å, I 67

Record 2
PrTmIn2Ni4: computed powder XRD pattern (Cu Kα), based on DFT lattice parameters and positions (GGA-PBE).

Structure:
```
data_PrTmIn2Ni4
_chemical_formula_sum 'Pr1 Tm1 In2 Ni4'
_cell_length_a 4.0571
_cell_length_b 5.1570
_cell_length_c 7.0971
_cell_angle_alpha 90.00
_cell_angle_beta 90.00
_cell_angle_gamma 90.00
_symmetry_space_group_name_H-M 'P m m 2'
_symmetry_Int_Tables_number 25
loop_
_symmetry_equiv_pos_as_xyz
'x,y,z'
'-x,-y,z'
'-x,y,z'
'x,-y,z'
loop_
_atom_site_label
_atom_site_type_symbol
_atom_site_fract_x
_atom_site_fract_y
_atom_site_fract_z
Pr1 Pr 0.0000 0.0000 0.0000
Tm1 Tm 0.0000 0.5000 0.5419
In1 In 0.5000 0.0000 0.6217
In2 In 0.5000 0.5000 0.9244
Ni1 Ni 0.0000 0.0000 0.3896
Ni2 Ni 0.0000 0.5000 0.1733
Ni3 Ni 0.5000 0.2556 0.2820
```

Largest 8 diffraction maxima, most intense first, 2θ = 10–90°:
hkl 1 1 1, 2.909 Å, I 100
hkl 1 1 2, 2.372 Å, I 61
hkl 2 0 0, 2.029 Å, I 33
hkl 0 2 0, 2.579 Å, I 31
hkl 0 1 3, 2.150 Å, I 27
hkl 0 2 2, 2.086 Å, I 26
hkl 1 0 2, 2.671 Å, I 24
hkl 1 2 1, 2.081 Å, I 24

Record 3
LuTlPdSe3: computed powder XRD pattern (Cu Kα), based on DFT lattice parameters and positions (GGA-PBE).

Structure:
```
data_LuTlPdSe3
_chemical_formula_sum 'Lu4 Tl4 Pd4 Se12'
_cell_length_a 15.0065
_cell_length_b 3.9810
_cell_length_c 10.6198
_cell_angle_alpha 90.00
_cell_angle_beta 90.00
_cell_angle_gamma 90.00
_symmetry_space_group_name_H-M 'P n m a'
_symmetry_Int_Tables_number 62
loop_
_symmetry_equiv_pos_as_xyz
'x,y,z'
'-x,-y,-z'
'-x+1/2,-y,z+1/2'
'x+1/2,y,-z+1/2'
'x+1/2,-y+1/2,-z+1/2'
'-x+1/2,y+1/2,z+1/2'
'-x,y+1/2,-z'
'x,-y+1/2,z'
loop_
_atom_site_label
_atom_site_type_symbol
_atom_site_fract_x
_atom_site_fract_y
_atom_site_fract_z
Lu1 Lu 0.0215 0.2500 0.1618
Tl1 Tl 0.2376 0.2500 0.4539
Pd1 Pd 0.0053 0.7500 0.4037
Se1 Se 0.0930 0.7500 0.6124
Se2 Se 0.0976 0.2500 0.9246
Se3 Se 0.1381 0.7500 0.2466
```

Largest 8 diffraction maxima, most intense first, 2θ = 10–90°:
hkl 3 1 1, 2.989 Å, I 100
hkl 3 1 2, 2.687 Å, I 54
hkl 0 2 0, 1.990 Å, I 45
hkl 5 1 2, 2.185 Å, I 42
hkl 2 1 5, 1.818 Å, I 34
hkl 2 1 3, 2.495 Å, I 30
hkl 2 0 0, 7.503 Å, I 28
hkl 2 0 2, 4.334 Å, I 27